1.
Diffraction record for Mg9Si5. The powder diffractogram is calculated, not measured: it uses a DFT-relaxed cell (PBE, the Materials Project) and Cu Ka.

Cell and atoms:
Unit cell a=7.1808 b=7.1808 c=36.8497 alpha=90.00 beta=90.00 gamma=120.00
Space group R32 (No. 155, hexagonal axes)
Unique sites:
1 Mg 0.0000 0.2520 0.0000 [9 per cell]
2 Mg 0.0000 0.7439 0.5000 [9 per cell]
3 Mg 0.0182 0.7474 0.3887 [18 per cell]
4 Mg 0.0208 0.4111 0.5539 [18 per cell]
5 Si 0.0000 0.0000 0.0578 [6 per cell]
6 Si 0.0000 0.0000 0.1694 [6 per cell]
7 Si 0.0000 0.0000 0.2644 [6 per cell]
8 Si 0.0000 0.0000 0.3323 [6 per cell]
9 Si 0.0000 0.0000 0.4442 [6 per cell]

Peak list (12 most intense, 10 to 90 degrees two-theta, by angle)
h k l, 2θ (°), d (Å), I_rel
1 1 0, 24.80, 3.590, 14
1 1 9, 33.19, 2.699, 100
2 0 8, 34.81, 2.577, 42
0 2 10, 37.86, 2.376, 45
2 1 1, 38.37, 2.346, 40
1 2 2, 38.60, 2.333, 16
1 2 8, 43.21, 2.094, 20
3 0 0, 43.67, 2.073, 52
0 0 18, 44.24, 2.047, 33
2 1 10, 45.79, 1.982, 24
3 0 18, 63.91, 1.457, 25
3 2 10, 70.82, 1.330, 14

---

2.
Diffraction record for CsNaMg6O7. The powder diffractogram is calculated, not measured: it uses a DFT-relaxed cell (PBE, the Materials Project) and Cu Ka.

Cell and atoms:
Unit cell a=4.2440 b=4.2440 c=11.9728 alpha=90.00 beta=90.00 gamma=90.00
Space group P4mm (No. 99)
Unique sites:
1 Cs 0.0000 0.0000 0.0000 [1 per cell]
2 Na 0.5000 0.5000 0.1174 [1 per cell]
3 Mg 0.0000 0.0000 0.5180 [1 per cell]
4 Mg 0.0000 0.5000 0.3125 [2 per cell]
5 Mg 0.0000 0.5000 0.7020 [2 per cell]
6 Mg 0.5000 0.5000 0.5343 [1 per cell]
7 O 0.0000 0.0000 0.3505 [1 per cell]
8 O 0.0000 0.0000 0.7110 [1 per cell]
9 O 0.0000 0.5000 0.1538 [2 per cell]
10 O 0.0000 0.5000 0.5266 [2 per cell]
11 O 0.5000 0.5000 0.7108 [1 per cell]

Peak list (12 most intense, 10 to 90 degrees two-theta, by angle)
h k l, 2θ (°), d (Å), I_rel
0 0 2, 14.80, 5.986, 47
1 0 0, 20.93, 4.244, 47
0 0 3, 22.24, 3.997, 79
1 0 2, 25.73, 3.462, 66
0 0 4, 29.82, 2.996, 28
1 0 3, 30.74, 2.909, 100
1 1 2, 33.40, 2.683, 80
1 0 4, 36.74, 2.446, 31
2 0 0, 42.62, 2.122, 100
1 1 5, 48.61, 1.873, 43
2 1 3, 53.46, 1.714, 23
2 2 0, 61.83, 1.500, 25